Entry 1:
Starting from a structure optimized by DFT (PBE), the XRD peak list of Dy6BeS5 was simulated for Cu Kα X-rays.
Kinematic intensities with the Lorentz-polarization factor, no thermal factor.

Structural model:
abc: 6.803 6.803 6.784
angles: 99.64 99.64 119.85
Positions (direct):
Dy: 0.081 0.406 0.744
Dy: 0.242 0.242 0.255
Dy: 0.406 0.081 0.744
Dy: 0.594 0.919 0.256
Dy: 0.758 0.758 0.745
Dy: 0.919 0.594 0.256
Be: 0.000 0.000 0.500
S: 0.171 0.829 0.000
S: 0.334 0.666 0.500
S: 0.500 0.500 0.000
S: 0.666 0.334 0.500
S: 0.829 0.171 0.000

Most intense lines, 15° ≤ 2θ ≤ 90°, low angle first:
27.81°, I = 70; 27.91°, I = 23; 32.25°, I = 100; 46.15°, I = 24; 46.30°, I = 48; 54.84°, I = 22

***

Entry 2:
Starting from a structure optimized by DFT (PBE), the XRD peak list of Y2InPb4 was simulated for Cu Kα X-rays.
Kinematic intensities with the Lorentz-polarization factor, no thermal factor.

Structural model:
abc: 6.634 6.634 6.617
angles: 118.17 118.17 92.74
Positions (direct):
Y: 0.000 0.500 0.000
Y: 0.500 0.000 0.000
In: 0.000 0.000 0.500
Pb: 0.000 0.000 0.000
Pb: 0.000 0.500 0.500
Pb: 0.500 0.000 0.500
Pb: 0.500 0.500 0.000

Most intense lines, 15° ≤ 2θ ≤ 90°, low angle first:
19.39°, I = 37; 26.18°, I = 37; 32.67°, I = 100; 32.91°, I = 98; 37.27°, I = 35; 37.45°, I = 35

***

Entry 3:
Starting from a structure optimized by DFT (PBE), the XRD peak list of Li5Se3N2 was simulated for Cu Kα X-rays.
Kinematic intensities with the Lorentz-polarization factor, no thermal factor.

Structural model:
abc: 6.818 6.825 8.086
angles: 91.81 91.86 112.32
Positions (direct):
Li: 0.012 0.098 0.135
Li: 0.070 0.323 0.548
Li: 0.178 0.430 0.951
Li: 0.389 0.114 0.751
Li: 0.403 0.487 0.365
Li: 0.597 0.513 0.635
Li: 0.611 0.886 0.249
Li: 0.822 0.570 0.049
Li: 0.930 0.677 0.452
Li: 0.988 0.902 0.865
Se: 0.045 0.458 0.250
Se: 0.290 0.053 0.390
Se: 0.447 0.208 0.112
Se: 0.553 0.792 0.888
Se: 0.710 0.947 0.610
Se: 0.955 0.542 0.750
N: 0.241 0.157 0.954
N: 0.343 0.260 0.547
N: 0.657 0.740 0.453
N: 0.759 0.843 0.046

Most intense lines, 15° ≤ 2θ ≤ 90°, low angle first:
18.27°, I = 85; 23.46°, I = 83; 25.63°, I = 72; 26.36°, I = 100; 28.89°, I = 63; 36.99°, I = 48